The following is a simulated X-ray diffraction stick pattern of PmY3Er2S6. It was derived from a GGA-PBE-relaxed structure, using Cu Kα X-rays.
Lines closer than 0.1° are merged.

Crystal structure
a = 6.7793 Å, b = 11.7870 Å, c = 6.7835 Å
α = 90.00°, β = 109.50°, γ = 90.00°
Space group C2/m (No. 12)
One atom of each set of equivalent atoms:
Pm1 0.0000 0.0000 0.0000
Y1 0.0000 0.1617 0.5000
Y2 0.0000 0.5000 0.5000
Er1 0.0000 0.3342 0.0000
S1 0.2396 0.5000 0.2477
S2 0.2448 0.3283 0.7489

Main lines, by angle (10 to 90 degrees two-theta):
3.204 Å, rel. 32
3.196 Å, rel. 32
2.772 Å, rel. 100
1.964 Å, rel. 12
1.959 Å, rel. 59
1.670 Å, rel. 21
1.602 Å, rel. 12
1.598 Å, rel. 12
1.239 Å, rel. 15
1.130 Å, rel. 12

=====

The following is a simulated X-ray diffraction stick pattern of Na2Sr3Li9. It was derived from a GGA-PBE-relaxed structure, using Cu Kα X-rays.
Lines closer than 0.1° are merged.

Crystal structure
a = 5.2388 Å, b = 10.5894 Å, c = 15.3803 Å
α = 90.00°, β = 90.00°, γ = 90.00°
Space group Immm (No. 71)
One atom of each set of equivalent atoms:
Na1 0.0000 0.1983 0.0000
Sr1 0.0000 0.0000 0.2084
Sr2 0.0000 0.0000 0.5000
Li1 0.0000 0.2844 0.3605
Li2 0.0000 0.3560 0.1723
Li3 0.0000 0.5000 0.5000

Main lines, by angle (10 to 90 degrees two-theta):
5.295 Å, rel. 42
4.696 Å, rel. 100
4.614 Å, rel. 48
3.664 Å, rel. 24
3.013 Å, rel. 73
2.975 Å, rel. 37
2.927 Å, rel. 29
2.907 Å, rel. 30
2.649 Å, rel. 21
2.619 Å, rel. 22

=====

The following is a simulated X-ray diffraction stick pattern of LaNd2B9. It was derived from a GGA-PBE-relaxed structure, using Cu Kα X-rays.
Lines closer than 0.1° are merged.

Crystal structure
a = 4.4925 Å, b = 4.4925 Å, c = 29.8503 Å
α = 90.00°, β = 90.00°, γ = 120.00°
Space group R-3m (No. 166, hexagonal axes)
One atom of each set of equivalent atoms:
La1 0.0000 0.0000 0.0000
Nd1 0.0000 0.0000 0.1181
B1 0.0000 0.0000 0.3988
B2 0.0000 0.0000 0.5000
B3 0.0919 0.5459 0.9367

Main lines, by angle (10 to 90 degrees two-theta):
3.858 Å, rel. 100
3.765 Å, rel. 21
3.317 Å, rel. 25
2.874 Å, rel. 40
2.693 Å, rel. 78
2.368 Å, rel. 22
2.246 Å, rel. 47
1.941 Å, rel. 20
1.860 Å, rel. 40
1.368 Å, rel. 18

=====

The following is a simulated X-ray diffraction stick pattern of Ba3Cd3Rh. It was derived from a GGA-PBE-relaxed structure, using Cu Kα X-rays.
Lines closer than 0.1° are merged.

Crystal structure
a = 12.6280 Å, b = 4.4823 Å, c = 17.7854 Å
α = 90.00°, β = 105.13°, γ = 90.00°
Space group C2/m (No. 12)
One atom of each set of equivalent atoms:
Ba1 0.0211 0.0000 0.3939
Ba2 0.1085 0.0000 0.9203
Ba3 0.2481 0.0000 0.2542
Cd1 0.0348 0.5000 0.2393
Cd2 0.1072 0.5000 0.0831
Cd3 0.1883 0.5000 0.5368
Rh1 0.2057 0.5000 0.3765

Main lines, by angle (10 to 90 degrees two-theta):
6.284 Å, rel. 36
3.253 Å, rel. 50
3.148 Å, rel. 100
3.068 Å, rel. 91
2.861 Å, rel. 45
2.725 Å, rel. 40
2.683 Å, rel. 62
2.648 Å, rel. 38
2.241 Å, rel. 52
2.074 Å, rel. 32

=====

The following is a simulated X-ray diffraction stick pattern of Sc5NbZn4. It was derived from a GGA-PBE-relaxed structure, using Cu Kα X-rays.
Lines closer than 0.1° are merged.

Crystal structure
a = 3.2560 Å, b = 3.2560 Å, c = 18.0676 Å
α = 90.00°, β = 90.00°, γ = 90.00°
Space group P4/mmm (No. 123)
One atom of each set of equivalent atoms:
Sc1 0.0000 0.0000 0.0000
Sc2 0.0000 0.0000 0.1915
Sc3 0.0000 0.0000 0.3890
Nb1 0.5000 0.5000 0.5000
Zn1 0.5000 0.5000 0.0958
Zn2 0.5000 0.5000 0.2887

Main lines, by angle (10 to 90 degrees two-theta):
3.614 Å, rel. 5
3.256 Å, rel. 8
2.419 Å, rel. 100
2.302 Å, rel. 46
1.807 Å, rel. 8
1.628 Å, rel. 15
1.421 Å, rel. 14
1.351 Å, rel. 28
1.209 Å, rel. 8
1.130 Å, rel. 5

=====

The following is a simulated X-ray diffraction stick pattern of Ac3Mg2Rh4. It was derived from a GGA-PBE-relaxed structure, using Cu Kα X-rays.
Lines closer than 0.1° are merged.

Crystal structure
a = 10.9850 Å, b = 4.3010 Å, c = 9.1103 Å
α = 90.00°, β = 97.55°, γ = 90.00°
Space group C2/m (No. 12)
One atom of each set of equivalent atoms:
Ac1 0.0000 0.0000 0.0000
Ac2 0.1214 0.5000 0.3796
Mg1 0.1813 0.5000 0.7922
Rh1 0.0936 0.0000 0.6296
Rh2 0.2029 0.5000 0.0892

Main lines, by angle (10 to 90 degrees two-theta):
3.594 Å, rel. 100
3.069 Å, rel. 34
3.010 Å, rel. 30
2.795 Å, rel. 32
2.774 Å, rel. 61
2.517 Å, rel. 36
2.477 Å, rel. 83
2.351 Å, rel. 42
2.150 Å, rel. 42
1.635 Å, rel. 32

=====

The following is a simulated X-ray diffraction stick pattern of Nb3VTe8. It was derived from a GGA-PBE-relaxed structure, using Cu Kα X-rays.
Lines closer than 0.1° are merged.

Crystal structure
a = 12.7190 Å, b = 7.3467 Å, c = 8.5675 Å
α = 90.00°, β = 119.78°, γ = 90.00°
Space group C2/m (No. 12)
One atom of each set of equivalent atoms:
Nb1 0.0000 0.0000 0.0000
Nb2 0.2500 0.2500 0.0000
V1 0.0000 0.5000 0.0000
Te1 0.0002 0.2558 0.2439
Te2 0.2444 0.5000 0.2439
Te3 0.2502 0.0000 0.2497

Main lines, by angle (10 to 90 degrees two-theta):
7.436 Å, rel. 29
3.718 Å, rel. 17
3.059 Å, rel. 32
2.763 Å, rel. 100
2.097 Å, rel. 45
1.859 Å, rel. 10
1.836 Å, rel. 30
1.529 Å, rel. 16
1.307 Å, rel. 12
1.175 Å, rel. 13

=====

The following is a simulated X-ray diffraction stick pattern of Nd2DyI. It was derived from a GGA-PBE-relaxed structure, using Cu Kα X-rays.
Lines closer than 0.1° are merged.

Crystal structure
a = 3.8332 Å, b = 3.8332 Å, c = 32.1633 Å
α = 90.00°, β = 90.00°, γ = 120.00°
Space group R3m (No. 160, hexagonal axes)
One atom of each set of equivalent atoms:
Nd1 0.0000 0.0000 0.0000
Nd2 0.0000 0.0000 0.1747
Dy1 0.0000 0.0000 0.4204
I1 0.0000 0.0000 0.5872

Main lines, by angle (10 to 90 degrees two-theta):
3.251 Å, rel. 27
3.068 Å, rel. 16
2.950 Å, rel. 100
2.691 Å, rel. 64
2.680 Å, rel. 33
2.310 Å, rel. 17
1.917 Å, rel. 39
1.644 Å, rel. 19
1.607 Å, rel. 16
1.560 Å, rel. 51

=====

The following is a simulated X-ray diffraction stick pattern of AcIn3Hg4. It was derived from a GGA-PBE-relaxed structure, using Cu Kα X-rays.
Lines closer than 0.1° are merged.

Crystal structure
a = 10.3325 Å, b = 8.1683 Å, c = 5.1647 Å
α = 90.00°, β = 90.00°, γ = 90.00°
Space group Pmma (No. 51)
One atom of each set of equivalent atoms:
Ac1 0.0000 0.0000 0.0000
In1 0.0000 0.5000 0.0000
In2 0.2500 0.0000 0.4995
In3 0.2500 0.5000 0.4986
Hg1 0.0000 0.2655 0.5000
Hg2 0.2500 0.2654 0.9987

Main lines, by angle (10 to 90 degrees two-theta):
2.723 Å, rel. 100
2.583 Å, rel. 44
2.042 Å, rel. 10
1.826 Å, rel. 16
1.602 Å, rel. 20
1.517 Å, rel. 35
1.361 Å, rel. 11
1.276 Å, rel. 8
1.167 Å, rel. 8
1.155 Å, rel. 9

=====

The following is a simulated X-ray diffraction stick pattern of RbCl3F. It was derived from a GGA-PBE-relaxed structure, using Cu Kα X-rays.
Lines closer than 0.1° are merged.

Crystal structure
a = 7.4012 Å, b = 7.4012 Å, c = 9.0939 Å
α = 90.00°, β = 90.00°, γ = 90.00°
Space group I4/mmm (No. 139)
One atom of each set of equivalent atoms:
Rb1 0.0000 0.5000 0.2500
Cl1 0.0000 0.0000 0.2193
Cl2 0.2202 0.2202 0.5000
F1 0.0000 0.0000 0.0000
F2 0.0000 0.0000 0.5000

Main lines, by angle (10 to 90 degrees two-theta):
3.701 Å, rel. 20
3.432 Å, rel. 33
2.870 Å, rel. 100
2.617 Å, rel. 57
2.273 Å, rel. 18
2.082 Å, rel. 15
1.850 Å, rel. 17
1.716 Å, rel. 28
1.555 Å, rel. 23
1.435 Å, rel. 12

=====

The following is a simulated X-ray diffraction stick pattern of Ac2Ga3Ir2. It was derived from a GGA-PBE-relaxed structure, using Cu Kα X-rays.
Lines closer than 0.1° are merged.

Crystal structure
a = 4.5552 Å, b = 19.2568 Å, c = 7.1781 Å
α = 90.00°, β = 90.00°, γ = 90.00°
Space group Cmcm (No. 63)
One atom of each set of equivalent atoms:
Ac1 0.0000 0.0621 0.2500
Ac2 0.0000 0.1635 0.7500
Ga1 0.0000 0.2247 0.2500
Ga2 0.0000 0.4392 0.0735
Ir1 0.0000 0.3129 0.5537

Main lines, by angle (10 to 90 degrees two-theta):
3.299 Å, rel. 27
2.789 Å, rel. 91
2.721 Å, rel. 100
2.581 Å, rel. 44
2.407 Å, rel. 35
2.278 Å, rel. 58
2.143 Å, rel. 54
1.704 Å, rel. 24
1.654 Å, rel. 23
1.561 Å, rel. 40

=====

The following is a simulated X-ray diffraction stick pattern of BaLiAl3P2H2O14. It was derived from a GGA-PBE-relaxed structure, using Cu Kα X-rays.
Lines closer than 0.1° are merged.

Crystal structure
a = 12.9494 Å, b = 6.4565 Å, c = 7.9647 Å
α = 90.00°, β = 122.88°, γ = 90.00°
Space group Cm (No. 8)
One atom of each set of equivalent atoms:
Ba1 0.0000 0.0000 0.0000
Li1 0.1801 0.5000 0.7798
Al1 0.2172 0.2459 0.5024
Al2 0.4637 0.5000 0.4966
P1 0.1894 0.5000 0.1509
P2 0.2412 0.0000 0.8597
H1 0.0561 0.5000 0.3888
H2 0.2949 0.0000 0.3686
O1 0.0583 0.1182 0.4032
O2 0.0972 0.0000 0.7606
O3 0.1116 0.5000 0.9258
O4 0.1396 0.5000 0.5087
O5 0.1586 0.3046 0.2331
O6 0.2693 0.1999 0.7733
O7 0.2849 0.0000 0.4822
O8 0.3108 0.0000 0.0833
O9 0.3302 0.5000 0.2374
O10 0.3718 0.3812 0.5977

Main lines, by angle (10 to 90 degrees two-theta):
6.164 Å, rel. 47
5.552 Å, rel. 100
3.787 Å, rel. 21
3.588 Å, rel. 41
3.228 Å, rel. 26
3.162 Å, rel. 87
2.907 Å, rel. 24
2.622 Å, rel. 21
2.568 Å, rel. 23
1.851 Å, rel. 26

=====

The following is a simulated X-ray diffraction stick pattern of BeIn2SnCl6. It was derived from a GGA-PBE-relaxed structure, using Cu Kα X-rays.
Lines closer than 0.1° are merged.

Crystal structure
a = 7.3064 Å, b = 7.3064 Å, c = 22.7924 Å
α = 90.00°, β = 90.00°, γ = 120.00°
Space group R3 (No. 146, hexagonal axes)
One atom of each set of equivalent atoms:
Be1 0.0000 0.0000 0.0000
In1 0.0000 0.0000 0.2342
In2 0.0000 0.0000 0.7470
Sn1 0.0000 0.0000 0.4378
Cl1 0.0208 0.6387 0.1653
Cl2 0.0316 0.2786 0.0006

Main lines, by angle (10 to 90 degrees two-theta):
7.597 Å, rel. 23
5.532 Å, rel. 25
4.234 Å, rel. 100
3.653 Å, rel. 48
3.292 Å, rel. 46
2.766 Å, rel. 26
2.633 Å, rel. 84
2.205 Å, rel. 22
2.109 Å, rel. 36
2.081 Å, rel. 21